This entry pairs a crystal structure of CsBaNpF6 with its calculated powder diffractogram. Radiation: Cu Kα (weighted mean of Kα1 and Kα2). Structure: a GGA-PBE-relaxed structure.
Lines closer than 0.1° are merged.

Atomic structure:
Unit cell a=6.915 b=6.915 c=10.120 alpha=90.00 beta=90.00 gamma=120.00
Fractional coordinates of all 18 atoms:
1 Cs 0.333 0.667 0.250
2 Cs 0.667 0.333 0.750
3 Ba 0.000 0.000 0.000
4 Ba 0.000 0.000 0.500
5 Np 0.333 0.667 0.750
6 Np 0.667 0.333 0.250
7 F 0.080 0.367 0.626
8 F 0.080 0.713 0.874
9 F 0.287 0.367 0.874
10 F 0.287 0.920 0.626
11 F 0.367 0.080 0.126
12 F 0.367 0.287 0.374
13 F 0.633 0.713 0.626
14 F 0.633 0.920 0.874
15 F 0.713 0.080 0.374
16 F 0.713 0.633 0.126
17 F 0.920 0.287 0.126
18 F 0.920 0.633 0.374

Principal peaks in the range 2θ from 5° to 70°, by angle:
2θ (°)  I/Imax  index
17.2  23  1 0 1
23.0  100  1 0 2
25.8  75  1 1 0
31.3  28  1 1 2
34.8  35  2 0 2
43.8  37  2 1 2
44.4  53  1 1 4
45.4  25  3 0 0